Diffraction record for KRbBeO2. The powder XRD pattern is simulated, not measured: it uses DFT lattice parameters and positions (PBE) and Cu Kα (λ = 1.5418 Å).

Structural model:
```
data_KRbBeO2
_chemical_formula_sum 'K2 Rb2 Be2 O4'
_cell_length_a 5.1094
_cell_length_b 6.5920
_cell_length_c 5.2086
_cell_angle_alpha 90.00
_cell_angle_beta 90.00
_cell_angle_gamma 90.00
_space_group_name_H-M_alt 'P m m a'
_space_group_IT_number 51
loop_
_space_group_symop_operation_xyz
'x,y,z'
'-x,-y,-z'
'-x+1/2,-y,z'
'x+1/2,y,-z'
'x+1/2,-y,-z'
'-x+1/2,y,z'
'-x,y,-z'
'x,-y,z'
loop_
_atom_site_label
_atom_site_type_symbol
_atom_site_fract_x
_atom_site_fract_y
_atom_site_fract_z
_atom_site_occupancy
K1 K 0.2500 0.0000 0.0451 1
Rb1 Rb 0.2500 0.5000 0.2854 1
Be1 Be 0.0000 0.0000 0.5000 1
O1 O 0.2500 0.1771 0.5926 1
```

Largest 10 diffraction maxima, most intense first, 2θ from 10° to 90°:
d [Å]	I_rel	(hkl)
3.191	100	1 1 1
2.445	82	1 2 1
3.647	62	1 0 1
2.422	54	0 1 2
3.296	53	0 2 0
2.555	49	2 0 0
1.758	31	2 1 2
2.189	26	1 1 2
1.595	22	1 1 3
4.087	21	0 1 1


Diffraction record for MgMo6Se8. The powder XRD pattern is simulated, not measured: it uses DFT lattice parameters and positions (PBE) and Cu Kα (λ = 1.5418 Å).

Structural model:
```
data_MgMo6Se8
_chemical_formula_sum 'Mg1 Mo6 Se8'
_cell_length_a 6.8265
_cell_length_b 6.8276
_cell_length_c 6.8822
_cell_angle_alpha 95.44
_cell_angle_beta 90.24
_cell_angle_gamma 95.51
_space_group_name_H-M_alt 'P 1'
_space_group_IT_number 1
loop_
_space_group_symop_operation_xyz
'x,y,z'
loop_
_atom_site_label
_atom_site_type_symbol
_atom_site_fract_x
_atom_site_fract_y
_atom_site_fract_z
_atom_site_occupancy
Mg1 Mg 0.0000 0.0000 0.0000 1
Mo1 Mo 0.3224 0.4039 0.4231 1
Mo2 Mo 0.4953 0.0972 0.5483 1
Mo3 Mo 0.5329 0.4564 0.7686 1
Mo4 Mo 0.6383 0.2777 0.2397 1
Mo5 Mo 0.6762 0.6317 0.4592 1
Mo6 Mo 0.8498 0.3246 0.5815 1
Se1 Se 0.2025 0.2368 0.7416 1
Se2 Se 0.3127 0.0573 0.2229 1
Se3 Se 0.3549 0.7327 0.6387 1
Se4 Se 0.4751 0.5878 0.1423 1
Se5 Se 0.6913 0.1419 0.8661 1
Se6 Se 0.8227 0.9937 0.3683 1
Se7 Se 0.8699 0.6636 0.7846 1
Se8 Se 0.9729 0.4884 0.2701 1
```

Largest 10 diffraction maxima, most intense first, 2θ from 10° to 90°:
d [Å]	I_rel	(hkl)
6.780	100	1 0 0
6.851	52	0 0 1
2.045	30	1 3 -1
2.921	29	1 -1 2
2.285	26	2 1 -2
2.117	26	3 -1 1
1.927	25	1 -2 3
2.034	23	-1 1 3
2.130	19	1 2 2
2.321	17	-2 2 1


Diffraction record for GaHg4Rh2. The powder XRD pattern is simulated, not measured: it uses DFT lattice parameters and positions (PBE) and Cu Kα (λ = 1.5418 Å).

Structural model:
```
data_GaHg4Rh2
_chemical_formula_sum 'Ga2 Hg8 Rh4'
_cell_length_a 5.2102
_cell_length_b 5.2102
_cell_length_c 13.4568
_cell_angle_alpha 90.00
_cell_angle_beta 90.00
_cell_angle_gamma 90.00
_space_group_name_H-M_alt 'I 4/m m m'
_space_group_IT_number 139
_space_group_name_Hall '-I 4 2'
loop_
_atom_site_label
_atom_site_type_symbol
_atom_site_fract_x
_atom_site_fract_y
_atom_site_fract_z
_atom_site_occupancy
Ga1 Ga 0.0000 0.0000 0.0000 1
Hg1 Hg 0.0000 0.0000 0.2085 1
Hg2 Hg 0.0000 0.5000 0.0000 1
Rh1 Rh 0.0000 0.0000 0.4089 1
```

Largest 10 diffraction maxima, most intense first, 2θ from 10° to 90°:
d [Å]	I_rel	(hkl)
3.231	100	1 1 2
2.605	98	2 0 0
2.391	58	1 0 5
1.762	46	2 1 5
1.842	36	2 2 0
1.600	27	3 1 2
2.060	25	2 0 4
3.364	23	0 0 4
1.916	19	1 1 6
6.728	19	0 0 2